Diffraction record for LiFeF3. The powder diffraction line list is calculated, not measured: it uses the PBE+U geometry in the Materials Project and Cu Kα (weighted mean of Kα1 and Kα2).
No peak broadening, texture or thermal motion is included.

a b c (Å): 5.651 5.651 7.819
angles (deg): 90.00 90.00 90.00
Space group I4/mcm (No. 140)
Unique sites:
Li1 0.000 0.500 0.250
Fe1 0.000 0.000 0.000
F1 0.000 0.000 0.250
F2 0.161 0.339 0.000

Largest 10 diffraction maxima, sorted by position, 2θ from 10° to 90°:
index  2theta  I_rel
1 1 0  22.25  100.0
0 0 2  22.74  66.5
2 0 0  31.67  45.2
1 1 2  32.03  21.1
2 1 1  37.40  22.6
2 2 0  45.39  28.7
0 0 4  46.45  23.8
3 1 0  51.11  40.2
3 1 2  56.63  29.5
3 1 4  71.53  24.3

Diffraction record for LiFe2F5. The powder diffraction line list is calculated, not measured: it uses the PBE+U geometry in the Materials Project and Cu Kα (weighted mean of Kα1 and Kα2).
No peak broadening, texture or thermal motion is included.

a b c (Å): 3.971 10.406 10.391
angles (deg): 90.00 90.00 90.00
Space group Cmcm (No. 63)
Unique sites:
Li1 0.000 0.180 0.250
Fe1 0.000 0.136 0.569
F1 0.000 0.055 0.115
F2 0.000 0.233 0.750
F3 0.000 0.319 0.065

Largest 10 diffraction maxima, sorted by position, 2θ from 10° to 90°:
index  2theta  I_rel
0 0 2  17.06  87.8
0 2 1  19.08  32.7
1 1 0  23.98  100.0
0 2 3  31.02  68.5
0 4 0  34.48  18.6
0 4 2  38.71  27.6
2 0 0  45.69  36.2
0 2 5  47.09  24.4
2 2 3  56.25  22.4
1 5 3  56.56  32.3

Diffraction record for LiFe2F5. The powder diffraction line list is calculated, not measured: it uses the PBE+U geometry in the Materials Project and Cu Kα (weighted mean of Kα1 and Kα2).
No peak broadening, texture or thermal motion is included.

a b c (Å): 11.750 5.327 5.470
angles (deg): 90.00 91.16 90.00
Space group C2/c (No. 15)
Unique sites:
Li1 0.250 0.250 0.000
Fe1 0.095 0.246 0.538
F1 0.000 0.045 0.250
F2 0.088 0.380 0.906
F3 0.219 0.088 0.338

Largest 10 diffraction maxima, sorted by position, 2θ from 10° to 90°:
index  2theta  I_rel
2 0 0  15.08  33.4
1 1 1  24.63  100.0
3 1 -1  32.53  51.7
0 0 2  32.75  24.5
3 1 1  33.01  42.5
4 0 2  45.79  24.8
4 2 0  46.00  27.1
0 2 2  47.66  36.9
3 1 -3  58.02  24.5
3 3 -1  59.47  27.0

Diffraction record for LiFe2F7. The powder diffraction line list is calculated, not measured: it uses the PBE+U geometry in the Materials Project and Cu Kα (weighted mean of Kα1 and Kα2).
No peak broadening, texture or thermal motion is included.

a b c (Å): 5.583 5.185 10.107
angles (deg): 90.00 98.82 90.00
Space group P2/c (No. 13)
Unique sites:
Li1 0.000 0.057 0.250
Fe1 0.424 0.250 0.570
F1 0.153 0.100 0.623
F2 0.285 0.432 0.987
F3 0.361 0.061 0.392
F4 0.500 0.403 0.750

Largest 10 diffraction maxima, sorted by position, 2θ from 10° to 90°:
index  2theta  I_rel
1 0 0  16.07  100.0
0 0 2  17.76  45.4
0 1 1  19.29  35.3
1 1 -1  24.30  41.1
1 0 2  25.84  19.5
0 1 3  31.95  25.9
2 1 -1  36.79  16.6
0 1 4  40.07  24.9
2 2 2  53.65  15.1
1 3 -3  61.60  14.0

Diffraction record for LiFe2F5. The powder diffraction line list is calculated, not measured: it uses the PBE+U geometry in the Materials Project and Cu Kα (weighted mean of Kα1 and Kα2).
No peak broadening, texture or thermal motion is included.

a b c (Å): 6.605 8.174 8.476
angles (deg): 90.31 90.39 90.34
Space group P1 (No. 1)
Unique sites:
Li1 0.000 0.000 0.000
Li2 0.002 0.155 0.499
Li3 0.504 0.501 0.132
Li4 0.506 0.656 0.634
Fe1 0.002 0.435 0.154
Fe2 0.008 0.720 0.653
Fe3 0.252 0.331 0.816
Fe4 0.254 0.828 0.315
Fe5 0.498 0.946 0.972
Fe6 0.500 0.222 0.478
Fe7 0.752 0.828 0.315
Fe8 0.754 0.330 0.815
F1 0.002 0.219 0.930
F2 0.003 0.675 0.236
F3 0.004 0.481 0.734
F4 0.007 0.937 0.428
F5 0.008 0.290 0.328
F6 0.248 0.188 0.615
F7 0.248 0.965 0.109
F8 0.258 0.465 0.021
F9 0.260 0.688 0.519
F10 0.500 0.714 0.210
F11 0.502 0.184 0.902
F12 0.503 0.436 0.700
F13 0.503 0.982 0.397
F14 0.508 0.365 0.304
F15 0.512 0.777 0.817
F16 0.747 0.694 0.520
F17 0.748 0.467 0.019
F18 0.758 0.190 0.613
F19 0.758 0.957 0.108
F20 0.996 0.869 0.824

Largest 10 diffraction maxima, sorted by position, 2θ from 10° to 90°:
index  2theta  I_rel
0 1 1  15.06  100.0
1 1 -1  20.17  57.3
0 2 0  21.75  62.5
0 2 -1  24.12  38.9
0 2 1  24.23  41.1
2 -1 1  31.01  99.9
2 1 1  31.20  34.9
2 1 -2  36.08  35.4
2 -3 3  54.29  36.6
4 0 0  55.66  32.7

Diffraction record for Li2FeF6. The powder diffraction line list is calculated, not measured: it uses the PBE+U geometry in the Materials Project and Cu Kα (weighted mean of Kα1 and Kα2).
No peak broadening, texture or thermal motion is included.

a b c (Å): 4.989 8.696 4.486
angles (deg): 90.00 93.13 90.00
Space group C2/m (No. 12)
Unique sites:
Li1 0.000 0.182 0.000
Fe1 0.000 0.500 0.500
F1 0.164 0.345 0.753
F2 0.208 0.000 0.722

Largest 10 diffraction maxima, sorted by position, 2θ from 10° to 90°:
index  2theta  I_rel
0 0 1  19.82  35.0
0 2 0  20.42  43.4
1 1 0  20.55  100.0
1 1 -1  28.00  37.8
0 2 1  28.61  50.9
1 1 1  29.39  32.3
2 0 -1  40.47  30.4
1 3 1  41.79  74.7
1 3 2  55.81  19.6
3 3 0  64.69  20.0

Diffraction record for Li2FeF6. The powder diffraction line list is calculated, not measured: it uses the PBE+U geometry in the Materials Project and Cu Kα (weighted mean of Kα1 and Kα2).
No peak broadening, texture or thermal motion is included.

a b c (Å): 14.792 8.732 4.693
angles (deg): 90.00 90.61 90.00
Space group C2 (No. 5)
Unique sites:
Li1 0.000 0.000 0.000
Li2 0.000 0.340 0.500
Li3 0.152 0.800 0.488
Li4 0.185 0.463 0.972
Fe1 0.000 0.640 0.000
Fe2 0.167 0.143 0.512
F1 0.051 0.798 0.776
F2 0.057 0.485 0.777
F3 0.064 0.158 0.736
F4 0.102 0.633 0.221
F5 0.109 0.987 0.285
F6 0.117 0.298 0.289
F7 0.212 0.985 0.735
F8 0.229 0.295 0.736
F9 0.229 0.639 0.708

Largest 10 diffraction maxima, sorted by position, 2θ from 10° to 90°:
index  2theta  I_rel
0 2 0  20.34  52.6
3 1 0  20.69  100.0
1 1 -1  22.29  69.4
1 1 1  22.39  38.4
2 0 1  22.55  25.0
2 2 1  30.57  27.8
3 3 -1  40.72  26.0
3 3 1  40.91  51.3
6 0 -2  53.64  40.5
9 3 0  65.19  23.8

Diffraction record for Li2FeF5. The powder diffraction line list is calculated, not measured: it uses the PBE+U geometry in the Materials Project and Cu Kα (weighted mean of Kα1 and Kα2).
No peak broadening, texture or thermal motion is included.

a b c (Å): 3.883 9.923 10.087
angles (deg): 90.00 90.00 90.00
Space group Cmcm (No. 63)
Unique sites:
Li1 0.000 0.134 0.057
Fe1 0.000 0.192 0.750
F1 0.000 0.051 0.620
F2 0.000 0.264 0.250
F3 0.000 0.312 0.592

Largest 10 diffraction maxima, sorted by position, 2θ from 10° to 90°:
index  2theta  I_rel
0 0 2  17.58  48.2
0 2 0  17.88  64.5
0 2 1  19.94  42.6
1 1 0  24.62  38.2
0 2 2  25.18  41.6
1 1 1  26.18  100.0
0 2 4  40.06  48.7
0 4 3  45.44  47.7
2 0 0  46.79  33.2
1 3 4  51.28  38.1

Diffraction record for LiFe2F5. The powder diffraction line list is calculated, not measured: it uses the PBE+U geometry in the Materials Project and Cu Kα (weighted mean of Kα1 and Kα2).
No peak broadening, texture or thermal motion is included.

a b c (Å): 6.654 8.047 8.470
angles (deg): 90.05 90.25 90.14
Space group P1 (No. 1)
Unique sites:
Li1 0.000 0.000 0.000
Li2 0.002 0.159 0.503
Li3 0.504 0.498 0.134
Li4 0.506 0.659 0.635
Fe1 0.003 0.432 0.149
Fe2 0.005 0.728 0.646
Fe3 0.252 0.331 0.818
Fe4 0.253 0.829 0.318
Fe5 0.499 0.934 0.987
Fe6 0.501 0.228 0.488
Fe7 0.752 0.830 0.317
Fe8 0.753 0.331 0.817
F1 0.002 0.226 0.940
F2 0.002 0.680 0.235
F3 0.003 0.869 0.825
F4 0.004 0.481 0.733
F5 0.004 0.935 0.438
F6 0.010 0.293 0.330
F7 0.245 0.969 0.117
F8 0.246 0.189 0.619
F9 0.259 0.470 0.019
F10 0.264 0.693 0.521
F11 0.501 0.719 0.203
F12 0.502 0.181 0.902
F13 0.502 0.433 0.691
F14 0.503 0.980 0.401
F15 0.509 0.363 0.305
F16 0.509 0.786 0.814
F17 0.745 0.693 0.520
F18 0.747 0.470 0.018
F19 0.759 0.190 0.618
F20 0.760 0.966 0.115

Largest 10 diffraction maxima, sorted by position, 2θ from 10° to 90°:
index  2theta  I_rel
0 1 -1  15.19  100.0
1 1 -1  20.24  86.1
0 2 0  22.09  67.6
0 2 1  24.49  73.4
0 2 -2  30.65  44.7
2 -1 1  30.92  96.4
2 1 1  31.01  33.2
2 1 -2  36.03  34.2
2 -1 2  36.17  34.4
4 0 0  55.22  33.1

Which formula does entry 7 have?
Li2FeF6